[1]
Starting from a cell relaxed with GGA+U, the powder diffractogram of Mn2Nb2ZnO9 was computed for CuKα.
No peak broadening, texture or thermal motion is included.

Peak list (10 most intense, 2θ = 10–90°, most intense first)
2θ 32.14, intensity 100
2θ 34.13, intensity 61
2θ 19.51, intensity 49
2θ 47.58, intensity 39
2θ 59.84, intensity 37
2θ 23.27, intensity 34
2θ 61.09, intensity 25
2θ 52.25, intensity 21
2θ 63.61, intensity 17
2θ 80.91, intensity 12

Structure:
```
data_Mn2Nb2ZnO9
_symmetry_space_group_name_H-M 'P 1'
_symmetry_Int_Tables_number 1
_cell_length_a 5.2546
_cell_length_b 5.2546
_cell_length_c 14.0871
_cell_angle_alpha 90.00
_cell_angle_beta 90.00
_cell_angle_gamma 120.00
loop_
_symmetry_equiv_pos_as_xyz
'x,y,z'
loop_
_atom_site_label
_atom_site_fract_x
_atom_site_fract_y
_atom_site_fract_z
Mn1 0.0000 0.0000 0.0000
Mn2 0.0000 0.0000 0.5000
Mn3 0.3333 0.6667 0.4985
Mn4 0.3333 0.6667 0.9985
Nb1 0.6667 0.3333 0.1430
Nb2 0.6667 0.3333 0.3549
Nb3 0.6667 0.3333 0.6430
Nb4 0.6667 0.3333 0.8549
Zn1 0.0000 0.0000 0.2627
Zn2 0.0000 0.0000 0.7627
O1 0.3145 0.0181 0.4206
O2 0.3145 0.2964 0.9206
O3 0.3204 0.0206 0.0762
O4 0.3204 0.2998 0.5762
O5 0.3860 0.0651 0.7497
O6 0.3860 0.3209 0.2497
O7 0.6791 0.0651 0.2497
O8 0.6791 0.6140 0.7497
O9 0.7002 0.0206 0.5762
O10 0.7002 0.6796 0.0762
O11 0.7036 0.0181 0.9206
O12 0.7036 0.6855 0.4206
O13 0.9349 0.3209 0.7497
O14 0.9349 0.6140 0.2497
O15 0.9794 0.2998 0.0762
O16 0.9794 0.6796 0.5762
O17 0.9819 0.2964 0.4206
O18 0.9819 0.6855 0.9206
```

=====

[2]
Starting from a cell relaxed with GGA+U, the powder diffractogram of CrGeO3 was computed for CuKα.
No peak broadening, texture or thermal motion is included.

Peak list (9 most intense, 2θ = 10–90°, most intense first)
2θ 33.87, intensity 100
2θ 48.65, intensity 41
2θ 60.59, intensity 36
2θ 71.25, intensity 23
2θ 81.27, intensity 15
2θ 23.77, intensity 14
2θ 54.84, intensity 6
2θ 76.32, intensity 3
2θ 41.80, intensity 2

Structure:
```
data_CrGeO3
_symmetry_space_group_name_H-M 'P 1'
_symmetry_Int_Tables_number 1
_cell_length_a 3.7433
_cell_length_b 3.7433
_cell_length_c 3.7433
_cell_angle_alpha 90.00
_cell_angle_beta 90.00
_cell_angle_gamma 90.00
loop_
_symmetry_equiv_pos_as_xyz
'x,y,z'
loop_
_atom_site_label
_atom_site_fract_x
_atom_site_fract_y
_atom_site_fract_z
Cr1 0.0000 0.0000 0.0000
Ge1 0.5000 0.5000 0.5000
O1 0.0000 0.5000 0.5000
O2 0.5000 0.0000 0.5000
O3 0.5000 0.5000 0.0000
```